Pr2Y4Ge3H2: computed powder diffractogram (λ = 1.5418 Å (Cu Kα)), based on the GGA-PBE geometry in Alexandria.
Intensities are scaled so that the largest is 100.

Most intense lines, 2θ from 10° to 90°, by angle:
Position (°2θ)	d (Å)	I/Imax	index
22.3	3.987	18.3	1 0 3
28.4	3.145	77.5	1 1 2
30.0	2.978	20.1	0 0 8
31.3	2.860	19.6	1 1 4
32.7	2.738	41.8	1 0 7
35.6	2.520	100.0	1 1 6
39.1	2.305	67.8	2 0 0
50.0	1.823	19.0	2 0 8
51.8	1.764	22.5	2 1 7
56.4	1.630	22.7	2 2 0
64.4	1.447	14.7	3 1 2
68.5	1.369	41.1	3 1 6

Atomic structure:
```
data_Pr2Y4Ge3H2
_chemical_formula_sum 'Pr4 Y8 Ge6 H4'
_cell_length_a 4.611
_cell_length_b 4.611
_cell_length_c 23.827
_cell_angle_alpha 90.00
_cell_angle_beta 90.00
_cell_angle_gamma 90.00
_space_group_name_H-M_alt 'I 4/m m m'
_space_group_IT_number 139
_space_group_name_Hall '-I 4 2'
loop_
_atom_site_label
_atom_site_fract_x
_atom_site_fract_y
_atom_site_fract_z
Pr1 0.000 0.000 0.201
Y1 0.000 0.500 0.079
Ge1 0.000 0.000 0.332
Ge2 0.000 0.000 0.500
H1 0.000 0.000 0.096
```